[1]
Starting from the PBE geometry in Alexandria, the XRD peak list of Ce3Tc2Sn was calculated for CuKα.

Cell and atoms:
Cell: 15.0828 4.7895 8.5191 Å, 90.00 108.68 90.00°
Space group C2/m (No. 12)
Asymmetric unit:
Ce 0.0653 0.0000 0.2073 [4 per cell]
Ce 0.1169 0.5000 0.8750 [4 per cell]
Ce 0.2408 0.0000 0.7038 [4 per cell]
Tc 0.0691 0.0000 0.6474 [4 per cell]
Tc 0.1551 0.0000 0.0210 [4 per cell]
Sn 0.0969 0.5000 0.4748 [4 per cell]

Main lines, sorted by position (10° ≤ 2θ ≤ 90°):
h k l	two_theta	I/Imax
3 1 -1	26.19	22
3 1 1	30.94	45
1 1 2	31.11	100
1 1 -3	37.07	29
6 0 -2	37.23	57
0 2 0	37.56	77
3 1 -3	37.74	61
3 1 2	38.45	29
5 1 -3	42.48	21
6 2 -2	53.89	22

=====

[2]
Starting from the PBE geometry in Alexandria, the XRD peak list of CeTcSn was calculated for CuKα.

Cell and atoms:
Cell: 6.6367 6.1155 9.6591 Å, 90.00 131.67 90.00°
Space group P2_1/c (No. 14)
Asymmetric unit:
Ce 0.0999 0.1314 0.3866 [4 per cell]
Tc 0.1263 0.1386 0.1574 [4 per cell]
Sn 0.4257 0.6207 0.6134 [4 per cell]

Main lines, sorted by position (10° ≤ 2θ ≤ 90°):
h k l	two_theta	I/Imax
0 1 2	28.73	24
1 1 1	31.48	56
1 1 -3	32.12	23
1 2 -1	32.24	100
2 0 -4	37.37	29
2 1 0	39.22	48
2 1 -4	40.28	35
1 2 -3	41.27	27
3 1 -3	43.52	24
0 0 4	50.60	21

=====

[3]
Starting from the PBE geometry in Alexandria, the XRD peak list of Ce7Tc2Sn3 was calculated for CuKα.

Cell and atoms:
Cell: 5.1879 25.6777 5.1059 Å, 90.00 90.00 90.00°
Space group Cmmm (No. 65)
Asymmetric unit:
Ce 0.0000 0.0000 0.0000 [2 per cell]
Ce 0.0000 0.0948 0.5000 [4 per cell]
Ce 0.0000 0.2200 0.0000 [4 per cell]
Ce 0.0000 0.3896 0.0000 [4 per cell]
Tc 0.0000 0.1048 0.0000 [4 per cell]
Sn 0.0000 0.3095 0.5000 [4 per cell]
Sn 0.0000 0.5000 0.5000 [2 per cell]

Main lines, sorted by position (10° ≤ 2θ ≤ 90°):
h k l	two_theta	I/Imax
1 5 1	30.10	100
2 0 0	34.58	37
0 10 0	34.94	23
0 0 2	35.15	35
2 10 0	49.98	16
2 0 2	50.14	26
0 10 2	50.41	16
3 5 1	59.21	15
1 5 3	59.97	14
2 10 2	62.57	17

=====

[4]
Starting from the PBE geometry in Alexandria, the XRD peak list of Ce2SnTe4 was calculated for CuKα.

Cell and atoms:
Cell: 8.0083 12.8469 4.6850 Å, 90.00 90.00 90.00°
Space group Pbam (No. 55)
Asymmetric unit:
Ce 0.0931 0.1834 0.0000 [4 per cell]
Sn 0.0000 0.5000 0.5000 [2 per cell]
Te 0.1393 0.7219 0.5000 [4 per cell]
Te 0.2452 0.9527 0.0000 [4 per cell]

Main lines, sorted by position (10° ≤ 2θ ≤ 90°):
h k l	two_theta	I/Imax
1 1 1	23.06	56
1 3 0	23.55	35
1 4 0	29.98	59
2 1 1	30.17	100
2 2 1	32.55	72
0 0 2	38.43	47
1 5 1	41.65	38
4 2 0	47.57	29
1 4 2	49.49	30
4 2 2	62.74	25